1.
Starting from a cell relaxed with GGA-PBE, the powder diffraction line list of LaTbIn2Se4 was calculated for Cu Ka.

Peak list (8 most intense, 5° ≤ 2θ ≤ 70°, by angle)
25.23 deg, d = 3.530 Å, I = 8.9
28.60 deg, d = 3.121 Å, I = 100.0
39.54 deg, d = 2.279 Å, I = 37.1
42.22 deg, d = 2.141 Å, I = 35.6
51.79 deg, d = 1.765 Å, I = 18.6
59.22 deg, d = 1.560 Å, I = 11.1
65.13 deg, d = 1.432 Å, I = 9.2
68.95 deg, d = 1.362 Å, I = 15.5

Structure:
```
data_LaTbIn2Se4
_chemical_formula_sum 'La1 Tb1 In2 Se4'
_cell_length_a 7.4202
_cell_length_b 4.2784
_cell_length_c 8.0892
_cell_angle_alpha 90.00
_cell_angle_beta 107.71
_cell_angle_gamma 90.00
_symmetry_space_group_name_H-M 'P 1 2/m 1'
_symmetry_Int_Tables_number 10
_symmetry_space_group_name_Hall '-P 2y'
loop_
_atom_site_label
_atom_site_fract_x
_atom_site_fract_y
_atom_site_fract_z
_atom_site_occupancy
La1 0.0000 0.0000 0.0000 1
Tb1 0.5000 0.5000 0.0000 1
In1 0.0000 0.5000 0.5000 1
In2 0.5000 0.0000 0.5000 1
Se1 0.2486 0.5000 0.2143 1
Se2 0.2732 0.0000 0.7897 1
```



2.
Starting from a cell relaxed with GGA-PBE, the powder diffraction line list of La4InSi was calculated for Cu Ka.

Peak list (8 most intense, 5° ≤ 2θ ≤ 70°, by angle)
27.39 deg, d = 3.256 Å, I = 34.0
29.41 deg, d = 3.037 Å, I = 33.0
30.20 deg, d = 2.960 Å, I = 100.0
30.32 deg, d = 2.948 Å, I = 59.2
30.50 deg, d = 2.931 Å, I = 28.9
31.37 deg, d = 2.852 Å, I = 65.5
32.06 deg, d = 2.792 Å, I = 56.5
32.34 deg, d = 2.768 Å, I = 71.5

Structure:
```
data_La4InSi
_chemical_formula_sum 'La8 In2 Si2'
_cell_length_a 5.9632
_cell_length_b 7.1001
_cell_length_c 8.9971
_cell_angle_alpha 90.00
_cell_angle_beta 100.54
_cell_angle_gamma 90.00
_symmetry_space_group_name_H-M 'P 1 21/m 1'
_symmetry_Int_Tables_number 11
_symmetry_space_group_name_Hall '-P 2yb'
loop_
_atom_site_label
_atom_site_fract_x
_atom_site_fract_y
_atom_site_fract_z
_atom_site_occupancy
La1 0.1528 0.2500 0.0416 1
La2 0.1928 0.7500 0.3685 1
La3 0.3432 0.5227 0.7459 1
In1 0.2264 0.2500 0.4173 1
Si1 0.3510 0.7500 0.0457 1
```



3.
Starting from a cell relaxed with GGA-PBE, the powder diffraction line list of La2InSi2 was calculated for Cu Ka.

Peak list (8 most intense, 5° ≤ 2θ ≤ 70°, by angle)
29.39 deg, d = 3.039 Å, I = 20.5
30.81 deg, d = 2.902 Å, I = 23.1
31.35 deg, d = 2.853 Å, I = 100.0
33.10 deg, d = 2.706 Å, I = 28.5
33.46 deg, d = 2.678 Å, I = 39.9
37.00 deg, d = 2.430 Å, I = 20.4
40.90 deg, d = 2.206 Å, I = 26.9
55.37 deg, d = 1.659 Å, I = 25.9

Structure:
```
data_La2InSi2
_chemical_formula_sum 'La8 In4 Si8'
_cell_length_a 7.7059
_cell_length_b 14.9880
_cell_length_c 4.4126
_cell_angle_alpha 90.00
_cell_angle_beta 90.00
_cell_angle_gamma 90.00
_symmetry_space_group_name_H-M 'P b a m'
_symmetry_Int_Tables_number 55
_symmetry_space_group_name_Hall '-P 2 2ab'
loop_
_atom_site_label
_atom_site_fract_x
_atom_site_fract_y
_atom_site_fract_z
_atom_site_occupancy
La1 0.1115 0.2173 0.0000 1
La2 0.2476 0.9650 0.0000 1
In1 0.0654 0.6235 0.5000 1
Si1 0.0509 0.0754 0.5000 1
Si2 0.1777 0.8162 0.5000 1
```